Record 1
Structure and theoretical powder X-ray diffraction pattern of Pm3Ga8Cu3 (a structure optimized by DFT (GGA-PBE); Cu Kα X-rays).

Structure:
Cell: 8.1948 8.1948 8.1948 Å, 149.38 109.61 78.69°
Atoms (fractional coordinates):
Pm: 0.0000 0.0000 0.0000
Pm: 0.3030 0.3030 0.0000
Pm: 0.6970 0.6970 0.0000
Ga: 0.0181 0.6554 0.3627
Ga: 0.1572 0.8692 0.2881
Ga: 0.2926 0.6554 0.6373
Ga: 0.4189 0.1308 0.2881
Ga: 0.5811 0.8692 0.7119
Ga: 0.7074 0.3446 0.3627
Ga: 0.8428 0.1308 0.7119
Ga: 0.9819 0.3446 0.6373
Cu: 0.3106 0.5000 0.8106
Cu: 0.5000 0.0000 0.5000
Cu: 0.6894 0.5000 0.1894

Main lines, by angle (2θ = 10–80°):
Position (°2θ), I_rel
34.07, 16.3
35.25, 100.0
35.56, 19.0
36.40, 19.8
38.09, 20.2
41.74, 31.3

---

Record 2
Structure and theoretical powder X-ray diffraction pattern of La10Pm4Sm (a structure optimized by DFT (GGA-PBE); Cu Kα X-rays).

Structure:
Cell: 9.7034 9.7034 9.7034 Å, 99.54 99.54 131.96°
Atoms (fractional coordinates):
La: 0.0501 0.1507 0.7005
La: 0.1507 0.4503 0.1007
La: 0.2500 0.7500 0.5000
La: 0.3496 0.0501 0.8993
La: 0.4503 0.3496 0.2995
La: 0.5497 0.6504 0.7005
La: 0.6504 0.9499 0.1007
La: 0.7500 0.2500 0.5000
La: 0.8493 0.5497 0.8993
La: 0.9499 0.8493 0.2995
Pm: 0.1004 0.2997 0.4000
Pm: 0.2997 0.8996 0.1993
Pm: 0.7003 0.1004 0.8007
Pm: 0.8996 0.7003 0.6000
Sm: 0.5000 0.5000 0.0000

Main lines, by angle (2θ = 10–80°):
Position (°2θ), I_rel
19.42, 28.2
31.97, 100.0
37.68, 15.8
45.78, 12.3
56.94, 25.7
57.05, 12.8

---

Record 3
Structure and theoretical powder X-ray diffraction pattern of Ce5DyBi4 (a structure optimized by DFT (GGA-PBE); Cu Kα X-rays).

Structure:
Cell: 10.4416 11.1584 6.0025 Å, 90.00 90.00 90.00°
Atoms (fractional coordinates):
Ce: 0.9996 0.9998 0.2323
Ce: 0.0004 0.0002 0.7677
Ce: 0.9996 0.5002 0.2323
Ce: 0.0004 0.4998 0.7677
Ce: 0.2500 0.2500 0.5005
Ce: 0.5004 0.9998 0.2323
Ce: 0.4996 0.0002 0.7677
Ce: 0.5004 0.5002 0.2323
Ce: 0.4996 0.4998 0.7677
Ce: 0.7500 0.7500 0.4995
Dy: 0.2500 0.7500 0.9996
Dy: 0.7500 0.2500 0.0004
Bi: 0.0722 0.2500 0.0010
Bi: 0.2500 0.5854 0.4995
Bi: 0.2500 0.9146 0.4995
Bi: 0.4278 0.2500 0.0010
Bi: 0.5722 0.7500 0.9990
Bi: 0.7500 0.0854 0.5005
Bi: 0.7500 0.4146 0.5005
Bi: 0.9278 0.7500 0.9990

Main lines, by angle (2θ = 10–80°):
Position (°2θ), I_rel
21.75, 54.0
22.57, 77.5
29.52, 45.4
33.92, 62.8
34.47, 53.8
38.47, 100.0

---

Record 4
Structure and theoretical powder X-ray diffraction pattern of GaAgPb2Se4 (a structure optimized by DFT (GGA-PBE); Cu Kα X-rays).

Structure:
Cell: 6.4476 6.7939 6.9630 Å, 112.50 110.50 103.18°
Atoms (fractional coordinates):
Ga: 0.0000 0.0000 0.0000
Ag: 0.2587 0.7581 0.5168
Pb: 0.5444 0.5447 0.0893
Pb: 0.7762 0.2759 0.5537
Se: 0.1393 0.0906 0.7451
Se: 0.3032 0.8870 0.2081
Se: 0.6065 0.6546 0.7448
Se: 0.9051 0.3211 0.2092

Main lines, by angle (2θ = 10–80°):
Position (°2θ), I_rel
23.35, 58.4
26.88, 100.0
34.62, 25.8
42.19, 27.0
43.21, 23.9
43.37, 21.1